Diffraction record for Pr7Sb4Te4. The PXRD pattern is calculated, not measured: it uses the PBE geometry in Alexandria and Cu Kα X-rays.

Crystal structure
abc: 11.9359 11.9359 11.9359
angles: 96.84 96.84 139.61
Fractional coordinates of all 30 atoms:
Pr 0.0000 0.2791 0.2791
Pr 0.0000 0.7209 0.7209
Pr 0.1383 0.5000 0.6383
Pr 0.2418 0.2418 0.0000
Pr 0.2791 0.0000 0.2791
Pr 0.2946 0.2946 0.5893
Pr 0.2946 0.7054 0.0000
Pr 0.5000 0.1383 0.6383
Pr 0.5000 0.8617 0.3617
Pr 0.7054 0.2946 0.0000
Pr 0.7054 0.7054 0.4107
Pr 0.7209 0.0000 0.7209
Pr 0.7582 0.7582 0.0000
Pr 0.8617 0.5000 0.3617
Sb 0.1016 0.6016 0.2033
Sb 0.1016 0.8984 0.5000
Sb 0.3984 0.6016 0.5000
Sb 0.3984 0.8984 0.7967
Sb 0.6016 0.1016 0.2033
Sb 0.6016 0.3984 0.5000
Sb 0.8984 0.1016 0.5000
Sb 0.8984 0.3984 0.7967
Te 0.1215 0.1215 0.2430
Te 0.1215 0.8785 0.0000
Te 0.3350 0.5000 0.8350
Te 0.5000 0.3350 0.8350
Te 0.5000 0.6650 0.1650
Te 0.6650 0.5000 0.1650
Te 0.8785 0.1215 0.0000
Te 0.8785 0.8785 0.7570

Largest 10 diffraction maxima, by intensity, 2θ = 15–90°:
two_theta, d_spacing, Rel. int.
30.2, 2.957, 100
28.0, 3.182, 54
33.4, 2.686, 48
43.6, 2.076, 36
32.4, 2.767, 28
34.0, 2.640, 27
43.9, 2.060, 23
63.6, 1.463, 23
21.6, 4.121, 20
43.5, 2.080, 17

***

Diffraction record for Rb8SbO2. The PXRD pattern is calculated, not measured: it uses the PBE geometry in Alexandria and Cu Kα X-rays.

Crystal structure
abc: 9.9785 9.9785 9.9785
angles: 146.36 103.57 86.15
Fractional coordinates of all 11 atoms:
Rb 0.1238 0.1238 0.0000
Rb 0.1949 0.5000 0.6949
Rb 0.2183 0.8783 0.3400
Rb 0.4618 0.1217 0.3400
Rb 0.5382 0.8783 0.6600
Rb 0.7817 0.1217 0.6600
Rb 0.8051 0.5000 0.3051
Rb 0.8762 0.8762 0.0000
Sb 0.5000 0.5000 0.0000
O 0.1698 0.0000 0.1698
O 0.8302 0.0000 0.8302

Largest 10 diffraction maxima, by intensity, 2θ = 15–90°:
two_theta, d_spacing, Rel. int.
26.6, 3.351, 100
23.9, 3.718, 85
28.4, 3.140, 64
31.0, 2.888, 43
42.5, 2.126, 41
34.5, 2.603, 38
37.8, 2.379, 36
49.7, 1.836, 30
57.6, 1.601, 22
77.3, 1.234, 18

***

Diffraction record for Li3U3PdS8. The PXRD pattern is calculated, not measured: it uses the PBE geometry in Alexandria and Cu Kα X-rays.

Crystal structure
abc: 7.5380 7.5380 7.6325
angles: 119.61 119.61 60.06
Fractional coordinates of all 15 atoms:
Li 0.0000 0.0000 0.0000
Li 0.0000 0.5000 0.0000
Li 0.5000 0.0000 0.0000
U 0.0000 0.5000 0.5000
U 0.5000 0.0000 0.5000
U 0.5000 0.5000 0.5000
Pd 0.0000 0.0000 0.5000
S 0.2457 0.2457 0.2376
S 0.2467 0.2467 0.7448
S 0.2480 0.7502 0.7459
S 0.2498 0.7520 0.2541
S 0.7502 0.2480 0.7459
S 0.7520 0.2498 0.2541
S 0.7533 0.7533 0.2552
S 0.7543 0.7543 0.7624

Largest 10 diffraction maxima, by intensity, 2θ = 15–90°:
two_theta, d_spacing, Rel. int.
33.4, 2.682, 100
27.7, 3.217, 84
36.4, 2.465, 41
47.7, 1.908, 36
28.9, 3.084, 35
48.3, 1.885, 35
50.6, 1.805, 34
43.6, 2.074, 25
60.0, 1.542, 18
79.5, 1.205, 17

***

Diffraction record for Ga2AgPd7. The PXRD pattern is calculated, not measured: it uses the PBE geometry in Alexandria and Cu Kα X-rays.

Crystal structure
abc: 10.2271 10.2271 10.2271
angles: 156.86 156.86 32.95
Fractional coordinates of all 10 atoms:
Ga 0.1740 0.1740 0.0000
Ga 0.8260 0.8260 0.0000
Ag 0.5000 0.5000 0.0000
Pd 0.0000 0.0000 0.0000
Pd 0.1001 0.6001 0.5000
Pd 0.2500 0.7500 0.5000
Pd 0.3999 0.8999 0.5000
Pd 0.6001 0.1001 0.5000
Pd 0.7500 0.2500 0.5000
Pd 0.8999 0.3999 0.5000

Largest 10 diffraction maxima, by intensity, 2θ = 15–90°:
two_theta, d_spacing, Rel. int.
41.6, 2.170, 100
44.2, 2.051, 51
79.5, 1.206, 29
36.0, 2.496, 17
64.2, 1.450, 16
32.2, 2.781, 11
30.8, 2.901, 11
74.2, 1.278, 10
25.6, 3.475, 10
36.7, 2.452, 9